Entry 1:
In6Sn2Hg3: simulated X-ray powder pattern (Cu Ka), based on DFT lattice parameters and positions (GGA-PBE).
Intensities are scaled so that the largest is 100.

Structure:
```
data_In6Sn2Hg3
_chemical_formula_sum 'In18 Sn6 Hg9'
_cell_length_a 3.4414
_cell_length_b 3.4414
_cell_length_c 86.4711
_cell_angle_alpha 90.00
_cell_angle_beta 90.00
_cell_angle_gamma 120.00
_space_group_name_H-M_alt 'R -3 m'
_space_group_IT_number 166
_space_group_name_Hall '-R 3 2"'
loop_
_atom_site_label
_atom_site_type_symbol
_atom_site_fract_x
_atom_site_fract_y
_atom_site_fract_z
In1 In 0.0000 0.0000 0.0885
In2 In 0.0000 0.0000 0.1824
In3 In 0.0000 0.0000 0.3628
Sn1 Sn 0.0000 0.0000 0.4531
Hg1 Hg 0.0000 0.0000 0.0000
Hg2 Hg 0.0000 0.0000 0.2746
```

Top 8 peaks for 10° ≤ 2θ ≤ 90°, by angle:
- 32.12°, rel. 100, hkl 0 1 11
- 34.22°, rel. 26, hkl 0 0 33
- 37.89°, rel. 62, hkl 1 0 22
- 53.23°, rel. 25, hkl 1 1 0
- 56.05°, rel. 17, hkl 0 1 44
- 63.55°, rel. 14, hkl 2 0 11
- 64.82°, rel. 24, hkl 1 1 33
- 87.48°, rel. 12, hkl 1 2 11

---

Entry 2:
Al2SbW: simulated X-ray powder pattern (Cu Ka), based on DFT lattice parameters and positions (GGA-PBE).
Intensities are scaled so that the largest is 100.

Structure:
```
data_Al2SbW
_chemical_formula_sum 'Al2 Sb1 W1'
_cell_length_a 3.521
_cell_length_b 3.521
_cell_length_c 5.690
_cell_angle_alpha 90.00
_cell_angle_beta 90.00
_cell_angle_gamma 90.00
_space_group_name_H-M_alt 'P 4 m m'
_space_group_IT_number 99
loop_
_space_group_symop_operation_xyz
'x,y,z'
'-y,x,z'
'-x,-y,z'
'y,-x,z'
'-x,y,z'
'y,x,z'
'x,-y,z'
'-y,-x,z'
loop_
_atom_site_label
_atom_site_type_symbol
_atom_site_fract_x
_atom_site_fract_y
_atom_site_fract_z
Al1 Al 0.000 0.000 0.000
Al2 Al 0.500 0.500 0.242
Sb1 Sb 0.000 0.000 0.511
W1 W 0.500 0.500 0.776
```

Top 8 peaks for 10° ≤ 2θ ≤ 90°, by angle:
- 15.57°, rel. 63, hkl 0 0 1
- 29.84°, rel. 67, hkl 1 0 1
- 36.08°, rel. 72, hkl 1 1 0
- 39.51°, rel. 26, hkl 1 1 1
- 40.78°, rel. 100, hkl 1 0 2
- 51.94°, rel. 25, hkl 2 0 0
- 61.06°, rel. 18, hkl 2 1 1
- 68.06°, rel. 44, hkl 2 1 2

---

Entry 3:
CaBeZn2O4: simulated X-ray powder pattern (Cu Ka), based on DFT lattice parameters and positions (GGA-PBE).
Intensities are scaled so that the largest is 100.

Structure:
```
data_CaBeZn2O4
_chemical_formula_sum 'Ca2 Be2 Zn4 O8'
_cell_length_a 4.897
_cell_length_b 4.897
_cell_length_c 7.628
_cell_angle_alpha 90.00
_cell_angle_beta 90.00
_cell_angle_gamma 90.00
_space_group_name_H-M_alt 'I -4 2 m'
_space_group_IT_number 121
_space_group_name_Hall 'I -4 2'
loop_
_atom_site_label
_atom_site_type_symbol
_atom_site_fract_x
_atom_site_fract_y
_atom_site_fract_z
Ca1 Ca 0.000 0.000 0.000
Be1 Be 0.000 0.000 0.500
Zn1 Zn 0.000 0.500 0.250
O1 O 0.200 0.200 0.376
```

Top 8 peaks for 10° ≤ 2θ ≤ 90°, by angle:
- 23.32°, rel. 15, hkl 0 0 2
- 25.73°, rel. 21, hkl 1 1 0
- 35.00°, rel. 100, hkl 1 1 2
- 36.70°, rel. 21, hkl 2 0 0
- 43.94°, rel. 12, hkl 2 0 2
- 52.88°, rel. 19, hkl 2 2 0
- 61.65°, rel. 24, hkl 2 0 4
- 65.00°, rel. 27, hkl 3 1 2

---

Entry 4:
TiCu3Pd4: simulated X-ray powder pattern (Cu Ka), based on DFT lattice parameters and positions (GGA-PBE).
Intensities are scaled so that the largest is 100.

Structure:
```
data_TiCu3Pd4
_chemical_formula_sum 'Ti2 Cu6 Pd8'
_cell_length_a 8.792
_cell_length_b 5.743
_cell_length_c 4.485
_cell_angle_alpha 90.00
_cell_angle_beta 90.00
_cell_angle_gamma 90.00
_space_group_name_H-M_alt 'P m m a'
_space_group_IT_number 51
loop_
_space_group_symop_operation_xyz
'x,y,z'
'-x,-y,-z'
'-x+1/2,-y,z'
'x+1/2,y,-z'
'x+1/2,-y,-z'
'-x+1/2,y,z'
'-x,y,-z'
'x,-y,z'
loop_
_atom_site_label
_atom_site_type_symbol
_atom_site_fract_x
_atom_site_fract_y
_atom_site_fract_z
Ti1 Ti 0.000 0.000 0.000
Cu1 Cu 0.000 0.500 0.000
Cu2 Cu 0.250 0.000 0.413
Cu3 Cu 0.250 0.500 0.403
Pd1 Pd 0.000 0.252 0.500
Pd2 Pd 0.250 0.252 0.911
```

Top 8 peaks for 10° ≤ 2θ ≤ 90°, by angle:
- 28.43°, rel. 11, hkl 2 0 1
- 38.61°, rel. 12, hkl 1 2 1
- 40.22°, rel. 17, hkl 0 0 2
- 41.07°, rel. 33, hkl 4 0 0
- 41.56°, rel. 14, hkl 1 0 2
- 42.67°, rel. 100, hkl 2 2 1
- 58.83°, rel. 11, hkl 4 0 2
- 75.93°, rel. 17, hkl 6 2 1